# LiVSiO4
Theoretical powder XRD pattern, λ = 1.5418 Å (Cu Kα). Input: a DFT-relaxed cell (PBE+U, Alexandria).
Peak positions follow from Bragg's law for the DFT cell and can differ from measured ones.

Most intense lines, 2θ = 10–80°, low angle first:
| h k l | two_theta | intensity |
| --- | --- | --- |
| 2 0 2 | 21.6 | 100 |
| 2 0 3 | 26.1 | 11 |
| 2 1 3 | 31.4 | 9 |
| 1 1 4 | 32.6 | 8 |
| 4 0 0 | 34.7 | 34 |
| 2 1 5 | 41.3 | 13 |

Crystal structure
a b c (Å): 10.328 5.169 13.644
angles (deg): 90.00 90.00 90.00
Atoms (fractional coordinates):
Li1 0.035 0.065 0.000
Li2 0.210 0.552 0.250
Li3 0.290 0.552 0.750
Li4 0.465 0.065 0.500
Li5 0.535 0.935 0.000
Li6 0.710 0.448 0.250
Li7 0.790 0.448 0.750
Li8 0.965 0.935 0.500
V1 0.034 0.920 0.750
V2 0.215 0.557 0.998
V3 0.285 0.557 0.498
V4 0.466 0.920 0.250
V5 0.534 0.080 0.750
V6 0.715 0.443 0.998
V7 0.785 0.443 0.498
V8 0.966 0.080 0.250
Si1 0.035 0.430 0.623
Si2 0.216 0.054 0.375
Si3 0.284 0.054 0.875
Si4 0.465 0.430 0.123
Si5 0.535 0.570 0.623
Si6 0.716 0.946 0.375
Si7 0.784 0.946 0.875
Si8 0.965 0.570 0.123
O1 0.005 0.117 0.631
O2 0.025 0.431 0.222
O3 0.038 0.452 0.025
O4 0.059 0.000 0.370
O5 0.191 0.491 0.617
O6 0.217 0.924 0.973
O7 0.218 0.916 0.778
O8 0.247 0.367 0.378
O9 0.253 0.367 0.878
O10 0.282 0.916 0.278
O11 0.283 0.924 0.473
O12 0.309 0.491 0.117
O13 0.441 0.000 0.870
O14 0.462 0.452 0.525
O15 0.475 0.431 0.722
O16 0.495 0.117 0.131
O17 0.505 0.883 0.631
O18 0.525 0.569 0.222
O19 0.538 0.548 0.025
O20 0.559 0.000 0.370
O21 0.691 0.509 0.617
O22 0.717 0.076 0.973
O23 0.718 0.084 0.778
O24 0.747 0.633 0.378
O25 0.753 0.633 0.878
O26 0.782 0.084 0.278
O27 0.783 0.076 0.473
O28 0.809 0.509 0.117
O29 0.941 0.000 0.870
O30 0.962 0.548 0.525
O31 0.975 0.569 0.722
O32 0.995 0.883 0.131